Record 1
Simulated PXRD pattern of Eu2BIN2 for Cu Ka, from a DFT-relaxed cell (GGA-PBE, the Materials Project).

Crystal structure
Lattice parameters (Å, degrees): 10.311 4.134 13.127 90.00 92.15 90.00
Space group P2_1/m (No. 11)
Inequivalent atoms, fractional coordinates:
Eu (0.078, 0.250, 0.404) x2
Eu (0.196, 0.250, 0.883) x2
Eu (0.347, 0.750, 0.131) x2
Eu (0.398, 0.750, 0.674) x2
B (0.161, 0.250, 0.648) x2
B (0.419, 0.750, 0.896) x2
I (0.078, 0.250, 0.142) x2
I (0.347, 0.750, 0.404) x2
N (0.050, 0.250, 0.590) x2
N (0.271, 0.250, 0.708) x2
N (0.307, 0.750, 0.946) x2
N (0.475, 0.250, 0.162) x2

The 12 most intense peaks (15 to 90 degrees two-theta), low angle first:
2theta, Rel. int., index
22.37, 20, 1 0 3
25.47, 15, 0 1 2
27.20, 47, 0 0 4
27.67, 100, 2 1 0
28.35, 18, 2 1 -1
30.79, 19, 1 1 -3
35.26, 14, 4 0 -1
38.70, 20, 2 1 -4
39.66, 26, 2 1 4
43.80, 22, 0 2 0
52.31, 18, 0 2 4
56.43, 13, 5 1 -4



Record 2
Simulated PXRD pattern of Eu2BIN2 for Cu Ka, from a DFT-relaxed cell (GGA-PBE, the Materials Project).

Crystal structure
Lattice parameters (Å, degrees): 4.156 10.241 13.174 91.15 90.64 91.01
Space group P-1 (No. 2)
Inequivalent atoms, fractional coordinates:
Eu (0.223, 0.393, 0.176) x2
Eu (0.248, 0.921, 0.094) x2
Eu (0.261, 0.803, 0.610) x2
Eu (0.263, 0.348, 0.636) x2
B (0.240, 0.419, 0.398) x2
B (0.265, 0.842, 0.849) x2
I (0.246, 0.924, 0.357) x2
I (0.259, 0.351, 0.908) x2
N (0.228, 0.523, 0.337) x2
N (0.243, 0.949, 0.910) x2
N (0.251, 0.308, 0.452) x2
N (0.284, 0.734, 0.789) x2

The 12 most intense peaks (15 to 90 degrees two-theta), low angle first:
2theta, Rel. int., index
21.77, 21, 0 2 -2
22.20, 33, 0 1 3
27.08, 80, 0 0 4
27.40, 90, 1 -2 0
27.90, 100, 1 2 0
28.27, 64, 0 1 -4
28.61, 24, 0 1 4
30.72, 21, 1 1 -3
35.61, 33, 0 4 -1
38.82, 35, 1 2 -4
39.72, 28, 1 2 4
43.56, 43, 2 0 0